Calculated X-ray diffraction stick pattern
Compound: Rb5Mo2O6
Radiation: Cu Kα (λ = 1.5418 Å)
Structure: the PBE+U geometry in Alexandria

Principal peaks in the range 10 to 90 degrees two-theta, sorted by position:
- (0 0 2), 13.4 deg, rel. 18
- (0 2 2), 26.3 deg, rel. 19
- (3 1 -2), 26.8 deg, rel. 32
- (0 0 4), 27.0 deg, rel. 36
- (3 1 1), 29.3 deg, rel. 100
- (0 2 3), 30.4 deg, rel. 43

Cell and atoms:
```
data_Rb5Mo2O6
_chemical_formula_sum 'Rb20 Mo8 O24'
_space_group_name_H-M_alt 'C 1 2/c 1'
_space_group_IT_number 15
_cell_length_a 11.4637
_cell_length_b 7.9033
_cell_length_c 13.7229
_cell_angle_alpha 90.00
_cell_angle_beta 106.00
_cell_angle_gamma 90.00
loop_
_space_group_symop_operation_xyz
'x,y,z'
'-x,-y,-z'
'-x,y,-z+1/2'
'x,-y,z+1/2'
'x+1/2,y+1/2,z'
'-x+1/2,-y+1/2,-z'
'-x+1/2,y+1/2,-z+1/2'
'x+1/2,-y+1/2,z+1/2'
loop_
_atom_site_label
_atom_site_fract_x
_atom_site_fract_y
_atom_site_fract_z
_atom_site_occupancy
Rb1 0.0000 0.0935 0.2500 1
Rb2 0.0620 0.2453 0.0027 1
Rb3 0.1556 0.4120 0.7200 1
Mo1 0.2400 0.3969 0.4657 1
O1 0.0779 0.4263 0.3862 1
O2 0.1557 0.0746 0.6202 1
O3 0.2147 0.0287 0.9172 1
```